Structure and theoretical powder diffractogram of Tl2Ga3Sn4 (a DFT-relaxed cell (GGA-PBE, Alexandria); Cu Kα X-rays).

Largest 10 diffraction maxima, by angle, 10° ≤ 2θ ≤ 90°:
d/Å	Rel. int.
4.168	17
3.189	21
2.846	36
2.815	44
2.763	70
2.540	100
2.366	21
2.351	27
1.593	34
1.577	24

Cell and atoms:
Cell lengths 9.6961, 8.8093, 5.7110 Å; angles 80.73, 63.72, 35.54 degrees
Fractional coordinates of all 9 atoms:
Tl  0.1158  0.1158  0.8842
Tl  0.8842  0.8842  0.1158
Ga  0.0000  0.0000  0.5000
Ga  0.5000  0.5000  0.0000
Ga  0.5000  0.5000  0.5000
Sn  0.1634  0.4917  0.5083
Sn  0.4917  0.1634  0.8366
Sn  0.5083  0.8366  0.1634
Sn  0.8366  0.5083  0.4917